Calculated powder diffractogram
Compound: NiH5CNCl2O2
Radiation: Cu Kα
Structure: a structure optimized by DFT (GGA+U)

Main lines, in order of falling intensity (2θ = 10–90°):
2θ 13.90, rel. 100
2θ 15.67, rel. 36
2θ 32.79, rel. 22
2θ 40.17, rel. 19
2θ 35.38, rel. 14
2θ 42.96, rel. 13

Atomic structure:
```
NiH5CNCl2O2
1.0
3.9547 -5.6567 0.0000
3.9547 5.6567 0.0000
-1.5114 0.0000 6.5980
Ni H C N Cl O
2 10 2 2 4 4
Direct
0.0000 0.0000 0.0000 Ni
0.0000 0.0000 0.5000 Ni
0.2628 0.7130 0.1214 H
0.2758 0.5097 0.2383 H
0.2870 0.7372 0.3786 H
0.3244 0.6756 0.7500 H
0.4903 0.7242 0.2617 H
0.5097 0.2758 0.7383 H
0.6756 0.3244 0.2500 H
0.7130 0.2628 0.6214 H
0.7242 0.4903 0.7617 H
0.7372 0.2870 0.8786 H
0.2268 0.7732 0.7500 C
0.7732 0.2268 0.2500 C
0.3289 0.6711 0.2500 N
0.6711 0.3289 0.7500 N
0.1775 0.2611 0.8071 Cl
0.2611 0.1775 0.3071 Cl
0.7389 0.8225 0.6929 Cl
0.8225 0.7389 0.1929 Cl
0.1717 0.8173 0.9170 O
0.1827 0.8283 0.5830 O
0.8173 0.1717 0.4170 O
0.8283 0.1827 0.0830 O
```